[1]
For AcLaPr4Sm2, DFT lattice parameters and positions (GGA-PBE) gives the computed powder X-ray diffraction pattern in this record (a wavelength of 1.5418 Å).
No peak broadening, texture or thermal motion is included.

Structural model:
Cell: 7.472 7.484 10.553 Å, 90.12 90.01 90.42°
Space group P1 (No. 1)
Asymmetric unit:
Ac 0.000 0.000 0.000 [1 per cell]
Ac 0.500 0.000 0.500 [1 per cell]
La 0.000 0.000 0.500 [1 per cell]
La 0.000 0.499 0.500 [1 per cell]
Pr 0.252 0.255 0.248 [1 per cell]
Pr 0.252 0.745 0.248 [1 per cell]
Pr 0.252 0.745 0.752 [1 per cell]
Pr 0.253 0.255 0.752 [1 per cell]
Pr 0.747 0.745 0.248 [1 per cell]
Pr 0.748 0.255 0.247 [1 per cell]
Pr 0.748 0.255 0.753 [1 per cell]
Pr 0.748 0.744 0.752 [1 per cell]
Sm 0.000 0.500 0.000 [1 per cell]
Sm 0.500 0.000 0.000 [1 per cell]
Sm 0.500 0.500 0.000 [1 per cell]
Sm 0.500 0.500 0.500 [1 per cell]

Peak list (10 most intense, 15° ≤ 2θ ≤ 90°, low angle first)
(hkl)  2theta  Rel. int.
2 0 2  29.28  100.0
2 -2 0  33.78  17.2
2 2 0  34.01  33.7
2 -2 4  48.67  18.5
4 0 0  48.78  12.3
2 2 4  48.90  6.1
4 -2 2  57.66  11.1
2 0 6  57.94  14.6
4 2 2  58.03  14.6
4 0 4  60.75  9.5

[2]
For SrLi5Hg2, DFT lattice parameters and positions (GGA-PBE) gives the computed powder X-ray diffraction pattern in this record (a wavelength of 1.5418 Å).
No peak broadening, texture or thermal motion is included.

Structural model:
Cell: 4.380 8.305 10.521 Å, 90.00 90.00 90.00°
Space group Immm (No. 71)
Asymmetric unit:
Sr 0.000 0.000 0.000 [2 per cell]
Li 0.000 0.183 0.343 [8 per cell]
Li 0.000 0.500 0.000 [2 per cell]
Hg 0.000 0.500 0.258 [4 per cell]

Peak list (10 most intense, 15° ≤ 2θ ≤ 90°, low angle first)
(hkl)  2theta  Rel. int.
0 0 2  16.85  36.3
0 2 0  21.40  50.7
1 1 0  22.95  35.0
0 2 2  27.36  21.7
1 1 2  28.61  100.0
0 0 4  34.09  15.5
0 2 4  40.60  21.3
1 1 4  41.50  16.5
1 3 2  42.27  37.1
2 2 4  59.24  14.2

[3]
For RbThCu2Br8, DFT lattice parameters and positions (GGA-PBE) gives the computed powder X-ray diffraction pattern in this record (a wavelength of 1.5418 Å).
No peak broadening, texture or thermal motion is included.

Structural model:
Cell: 11.103 7.886 10.333 Å, 90.00 93.27 90.00°
Space group C2/m (No. 12)
Asymmetric unit:
Rb 0.000 0.000 0.000 [2 per cell]
Th 0.000 0.000 0.500 [2 per cell]
Cu 0.149 0.500 0.275 [4 per cell]
Br 0.002 0.249 0.702 [8 per cell]
Br 0.188 0.500 0.059 [4 per cell]
Br 0.241 0.500 0.491 [4 per cell]

Peak list (10 most intense, 15° ≤ 2θ ≤ 90°, low angle first)
(hkl)  2theta  Rel. int.
1 1 -1  16.00  100.0
2 0 1  18.60  24.0
0 2 0  22.49  65.3
3 1 0  26.64  68.5
0 2 2  28.49  80.2
4 0 0  32.32  42.3
4 2 -2  42.81  28.6
0 0 5  43.85  23.5
4 2 2  44.39  40.3
0 4 0  46.04  24.1

[4]
For Ba2PuReO6, DFT lattice parameters and positions (GGA-PBE) gives the computed powder X-ray diffraction pattern in this record (a wavelength of 1.5418 Å).
No peak broadening, texture or thermal motion is included.

Structural model:
Cell: 8.500 8.500 8.500 Å, 90.00 90.00 90.00°
Space group Fm-3m (No. 225)
Asymmetric unit:
Ba 0.250 0.250 0.250 [8 per cell]
Pu 0.000 0.000 0.000 [4 per cell]
Re 0.000 0.000 0.500 [4 per cell]
O 0.000 0.000 0.264 [24 per cell]

Peak list (10 most intense, 15° ≤ 2θ ≤ 90°, low angle first)
(hkl)  2theta  Rel. int.
2 0 0  20.90  9.9
2 2 0  29.73  100.0
4 0 0  42.55  27.1
4 2 0  47.86  4.6
4 2 2  52.76  41.4
4 4 0  61.74  17.4
6 0 0  65.94  2.2
6 2 0  70.01  18.5
4 4 4  77.86  5.9
6 4 2  85.49  22.4

[5]
For Ta3GaH3, DFT lattice parameters and positions (GGA-PBE) gives the computed powder X-ray diffraction pattern in this record (a wavelength of 1.5418 Å).
No peak broadening, texture or thermal motion is included.

Structural model:
Cell: 5.393 5.393 5.393 Å, 90.00 90.00 90.00°
Space group Pm-3n (No. 223)
Asymmetric unit:
Ta 0.000 0.250 0.500 [6 per cell]
Ga 0.000 0.000 0.000 [2 per cell]
H 0.000 0.500 0.250 [6 per cell]

Peak list (10 most intense, 15° ≤ 2θ ≤ 90°, low angle first)
(hkl)  2theta  Rel. int.
1 1 0  23.33  14.9
2 0 0  33.23  17.5
2 1 0  37.28  100.0
2 1 1  40.99  39.3
2 2 2  59.37  15.2
3 2 0  62.05  23.2
3 2 1  64.67  20.3
4 0 0  69.75  12.0
4 2 0  79.48  5.6
4 2 1  81.85  21.5

Number 3 is which compound?
RbThCu2Br8